# 1
# Li3MnNb4O12
Simulated XRD peak list, Cu Kα (λ = 1.5418 Å). Input: a structure optimized by DFT (PBE+U).

Top 12 peaks for 10° ≤ 2θ ≤ 80°, low angle first:
two_theta  d [Å]  I (rel.)
23.1  3.843  1000
31.9  2.801  571
33.9  2.641  385
39.1  2.305  104
41.5  2.177  104
47.3  1.923  186
47.3  1.920  93
51.9  1.761  342
54.6  1.680  100
55.6  1.652  94
59.5  1.554  209
60.7  1.525  115

Structure:
a b c (Å): 5.283 5.625 7.712
angles (deg): 94.92 90.04 90.12
Sites, in units of the cell vectors:
1 Li 0.000 0.000 0.000
2 Li 0.000 0.000 0.497
3 Li 0.500 0.492 0.001
4 Mn 0.497 0.499 0.495
5 Nb 0.002 0.560 0.207
6 Nb 0.499 0.076 0.716
7 Nb 0.506 0.055 0.209
8 Nb 0.998 0.578 0.719
9 O 0.117 0.599 0.453
10 O 0.185 0.900 0.760
11 O 0.195 0.281 0.138
12 O 0.303 0.778 0.137
13 O 0.314 0.401 0.759
14 O 0.382 0.098 0.452
15 O 0.623 0.096 0.956
16 O 0.679 0.406 0.256
17 O 0.695 0.782 0.636
18 O 0.802 0.285 0.638
19 O 0.818 0.904 0.259
20 O 0.875 0.598 0.956

# 2
# TiMoO4
Simulated XRD peak list, Cu Kα (λ = 1.5418 Å). Input: a structure optimized by DFT (PBE+U).

Top 12 peaks for 10° ≤ 2θ ≤ 80°, low angle first:
two_theta  d [Å]  I (rel.)
18.8  4.710  318
26.7  3.342  741
26.9  3.319  765
34.7  2.588  1000
38.2  2.355  210
39.7  2.272  270
43.1  2.100  132
52.4  1.745  452
52.7  1.738  488
55.0  1.671  140
66.6  1.404  198
66.8  1.400  304

Structure:
a b c (Å): 6.637 6.684 3.098
angles (deg): 90.00 90.00 90.00
Sites, in units of the cell vectors:
1 Ti 0.000 0.000 0.000
2 Ti 0.500 0.500 0.000
3 Mo 0.000 0.500 0.500
4 Mo 0.500 0.000 0.500
5 O 0.000 0.293 0.000
6 O 0.000 0.707 0.000
7 O 0.192 0.000 0.500
8 O 0.308 0.500 0.500
9 O 0.500 0.207 0.000
10 O 0.500 0.793 0.000
11 O 0.692 0.500 0.500
12 O 0.808 0.000 0.500

# 3
# Co2AsClO4
Simulated XRD peak list, Cu Kα (λ = 1.5418 Å). Input: a structure optimized by DFT (PBE+U).

Top 12 peaks for 10° ≤ 2θ ≤ 80°, low angle first:
two_theta  d [Å]  I (rel.)
12.7  6.957  1000
21.6  4.107  554
22.2  4.006  288
25.4  3.504  398
25.6  3.479  443
26.6  3.356  450
30.9  2.890  511
31.7  2.820  539
32.1  2.785  908
37.2  2.415  875
53.2  1.721  289
54.7  1.678  304

Structure:
a b c (Å): 4.995 6.713 6.960
angles (deg): 90.00 91.49 90.00
Sites, in units of the cell vectors:
1 Co 0.000 0.000 0.000
2 Co 0.000 0.500 0.000
3 Co 0.350 0.250 0.269
4 Co 0.650 0.750 0.731
5 As 0.490 0.250 0.760
6 As 0.510 0.750 0.240
7 Cl 0.166 0.750 0.767
8 Cl 0.834 0.250 0.233
9 O 0.240 0.250 0.936
10 O 0.306 0.544 0.201
11 O 0.306 0.956 0.201
12 O 0.324 0.250 0.547
13 O 0.676 0.750 0.453
14 O 0.694 0.044 0.799
15 O 0.694 0.456 0.799
16 O 0.760 0.750 0.064

# 4
# LiFeP2HO7
Simulated XRD peak list, Cu Kα (λ = 1.5418 Å). Input: a structure optimized by DFT (PBE+U).

Top 12 peaks for 10° ≤ 2θ ≤ 80°, low angle first:
two_theta  d [Å]  I (rel.)
15.9  5.581  182
17.4  5.087  591
18.8  4.724  376
19.8  4.479  480
21.3  4.168  163
23.0  3.868  1000
24.7  3.598  181
26.1  3.416  362
28.2  3.161  839
30.9  2.898  516
36.4  2.468  161
43.5  2.082  251

Structure:
a b c (Å): 6.023 7.827 12.747
angles (deg): 84.96 84.12 82.40
Sites, in units of the cell vectors:
1 Li 0.000 0.000 0.000
2 Li 0.005 0.234 0.141
3 Li 0.499 0.999 0.501
4 Li 0.509 0.233 0.641
5 Fe 0.152 0.856 0.684
6 Fe 0.355 0.378 0.956
7 Fe 0.651 0.857 0.184
8 Fe 0.857 0.378 0.456
9 P 0.038 0.963 0.433
10 P 0.108 0.823 0.218
11 P 0.399 0.410 0.423
12 P 0.466 0.271 0.208
13 P 0.539 0.963 0.933
14 P 0.608 0.822 0.718
15 P 0.898 0.411 0.923
16 P 0.969 0.270 0.708
17 H 0.175 0.422 0.596
18 H 0.333 0.812 0.046
19 H 0.672 0.424 0.095
20 H 0.833 0.811 0.545
21 O 0.011 0.993 0.162
22 O 0.025 0.084 0.748
23 O 0.075 0.537 0.916
24 O 0.157 0.855 0.338
25 O 0.163 0.477 0.473
26 O 0.193 0.355 0.669
27 O 0.197 0.929 0.519
28 O 0.306 0.307 0.121
29 O 0.316 0.878 0.973
30 O 0.345 0.756 0.168
31 O 0.347 0.378 0.304
32 O 0.431 0.696 0.726
33 O 0.482 0.150 0.893
34 O 0.495 0.240 0.479
35 O 0.511 0.992 0.662
36 O 0.523 0.084 0.247
37 O 0.576 0.535 0.415
38 O 0.658 0.855 0.837
39 O 0.661 0.478 0.973
40 O 0.689 0.357 0.168
41 O 0.699 0.928 0.019
42 O 0.810 0.306 0.621
43 O 0.815 0.878 0.473
44 O 0.844 0.755 0.668
45 O 0.849 0.378 0.803
46 O 0.931 0.697 0.225
47 O 0.981 0.150 0.392
48 O 0.994 0.241 0.979

# 5
# Rb2MoP2O9
Simulated XRD peak list, Cu Kα (λ = 1.5418 Å). Input: a structure optimized by DFT (PBE+U).

Top 12 peaks for 10° ≤ 2θ ≤ 80°, low angle first:
two_theta  d [Å]  I (rel.)
12.1  7.296  344
20.0  4.447  258
21.7  4.101  1000
24.0  3.713  314
24.6  3.618  495
25.0  3.566  839
25.5  3.496  513
26.4  3.373  710
29.0  3.078  514
29.1  3.070  403
31.6  2.828  357
33.9  2.641  274

Structure:
a b c (Å): 8.373 8.373 16.037
angles (deg): 97.57 97.57 60.94
Sites, in units of the cell vectors:
1 Rb 0.009 0.711 0.767
2 Rb 0.052 0.236 0.978
3 Rb 0.236 0.052 0.478
4 Rb 0.289 0.991 0.733
5 Rb 0.711 0.009 0.267
6 Rb 0.764 0.948 0.522
7 Rb 0.948 0.764 0.022
8 Rb 0.991 0.289 0.233
9 Mo 0.262 0.513 0.362
10 Mo 0.487 0.738 0.138
11 Mo 0.513 0.262 0.862
12 Mo 0.738 0.487 0.638
13 P 0.267 0.650 0.572
14 P 0.303 0.450 0.157
15 P 0.350 0.733 0.928
16 P 0.450 0.303 0.657
17 P 0.550 0.697 0.343
18 P 0.650 0.267 0.072
19 P 0.697 0.550 0.843
20 P 0.733 0.350 0.428
21 O 0.051 0.660 0.314
22 O 0.120 0.810 0.620
23 O 0.129 0.444 0.127
24 O 0.190 0.880 0.880
25 O 0.199 0.648 0.477
26 O 0.232 0.330 0.382
27 O 0.288 0.462 0.602
28 O 0.299 0.631 0.146
29 O 0.330 0.232 0.882
30 O 0.340 0.949 0.186
31 O 0.352 0.801 0.023
32 O 0.357 0.546 0.916
33 O 0.369 0.701 0.354
34 O 0.376 0.392 0.250
35 O 0.392 0.376 0.750
36 O 0.444 0.129 0.627
37 O 0.454 0.643 0.584
38 O 0.462 0.288 0.102
39 O 0.538 0.712 0.898
40 O 0.546 0.357 0.416
41 O 0.556 0.871 0.373
42 O 0.608 0.624 0.250
43 O 0.624 0.608 0.750
44 O 0.631 0.299 0.646
45 O 0.643 0.454 0.084
46 O 0.648 0.199 0.977
47 O 0.660 0.051 0.814
48 O 0.670 0.768 0.118
49 O 0.701 0.369 0.854
50 O 0.712 0.538 0.398
51 O 0.768 0.670 0.618
52 O 0.801 0.352 0.523
53 O 0.810 0.120 0.120
54 O 0.871 0.556 0.873
55 O 0.880 0.190 0.380
56 O 0.949 0.340 0.686

# 6
# Li9Mn7O16
Simulated XRD peak list, Cu Kα (λ = 1.5418 Å). Input: a structure optimized by DFT (PBE+U).

Top 12 peaks for 10° ≤ 2θ ≤ 80°, low angle first:
two_theta  d [Å]  I (rel.)
18.3  4.851  1000
33.8  2.651  184
36.3  2.478  235
40.6  2.222  355
44.2  2.051  276
44.4  2.040  273
46.6  1.947  51
61.4  1.510  167
61.6  1.505  82
62.1  1.495  81
63.9  1.456  72
64.9  1.437  74

Structure:
a b c (Å): 5.291 7.666 7.772
angles (deg): 95.00 105.71 98.39
Sites, in units of the cell vectors:
1 Li 0.000 0.000 0.000
2 Li 0.076 0.689 0.569
3 Li 0.186 0.058 0.701
4 Li 0.312 0.437 0.814
5 Li 0.419 0.820 0.933
6 Li 0.581 0.180 0.067
7 Li 0.688 0.563 0.186
8 Li 0.814 0.942 0.299
9 Li 0.924 0.311 0.431
10 Mn 0.118 0.371 0.125
11 Mn 0.244 0.750 0.245
12 Mn 0.366 0.123 0.368
13 Mn 0.500 0.500 0.500
14 Mn 0.634 0.877 0.632
15 Mn 0.756 0.250 0.755
16 Mn 0.882 0.629 0.875
17 O 0.023 0.830 0.782
18 O 0.097 0.538 0.331
19 O 0.108 0.231 0.899
20 O 0.214 0.907 0.446
21 O 0.287 0.593 0.052
22 O 0.391 0.279 0.596
23 O 0.410 0.962 0.172
24 O 0.472 0.660 0.703
25 O 0.528 0.340 0.297
26 O 0.590 0.038 0.828
27 O 0.609 0.721 0.404
28 O 0.713 0.407 0.948
29 O 0.786 0.093 0.554
30 O 0.892 0.769 0.101
31 O 0.903 0.462 0.669
32 O 0.977 0.170 0.218

# 7
# Li2Mn3VO8
Simulated XRD peak list, Cu Kα (λ = 1.5418 Å). Input: a structure optimized by DFT (PBE+U).

Top 12 peaks for 10° ≤ 2θ ≤ 80°, low angle first:
two_theta  d [Å]  I (rel.)
18.2  4.878  1000
34.7  2.585  165
34.8  2.575  162
36.1  2.487  141
36.8  2.439  96
41.9  2.155  197
42.1  2.144  196
44.3  2.044  167
61.0  1.520  116
62.6  1.483  106
62.8  1.479  106
78.4  1.220  81

Structure:
a b c (Å): 8.175 8.576 8.620
angles (deg): 90.00 90.00 90.00
Sites, in units of the cell vectors:
1 Li 0.002 0.007 0.003
2 Li 0.245 0.748 0.751
3 Li 0.255 0.252 0.251
4 Li 0.498 0.993 0.503
5 Li 0.502 0.493 0.997
6 Li 0.745 0.752 0.249
7 Li 0.755 0.248 0.749
8 Li 0.998 0.507 0.497
9 Mn 0.122 0.875 0.369
10 Mn 0.125 0.368 0.881
11 Mn 0.127 0.121 0.621
12 Mn 0.373 0.879 0.121
13 Mn 0.375 0.632 0.381
14 Mn 0.378 0.125 0.869
15 Mn 0.622 0.625 0.631
16 Mn 0.625 0.132 0.119
17 Mn 0.627 0.379 0.379
18 Mn 0.873 0.621 0.879
19 Mn 0.875 0.868 0.619
20 Mn 0.878 0.375 0.131
21 V 0.132 0.621 0.126
22 V 0.368 0.379 0.626
23 V 0.632 0.879 0.874
24 V 0.868 0.121 0.374
25 O 0.109 0.606 0.894
26 O 0.110 0.871 0.594
27 O 0.111 0.392 0.132
28 O 0.114 0.104 0.383
29 O 0.134 0.647 0.359
30 O 0.134 0.861 0.140
31 O 0.139 0.136 0.857
32 O 0.148 0.374 0.624
33 O 0.352 0.626 0.124
34 O 0.361 0.864 0.357
35 O 0.366 0.139 0.640
36 O 0.366 0.353 0.859
37 O 0.386 0.896 0.883
38 O 0.389 0.608 0.632
39 O 0.390 0.129 0.094
40 O 0.391 0.394 0.394
41 O 0.609 0.894 0.106
42 O 0.610 0.629 0.406
43 O 0.611 0.108 0.868
44 O 0.614 0.396 0.617
45 O 0.634 0.639 0.860
46 O 0.634 0.853 0.641
47 O 0.639 0.364 0.143
48 O 0.648 0.126 0.376
49 O 0.852 0.874 0.876
50 O 0.861 0.636 0.643
51 O 0.866 0.147 0.141
52 O 0.866 0.361 0.360
53 O 0.886 0.604 0.117
54 O 0.889 0.892 0.368
55 O 0.890 0.371 0.906
56 O 0.891 0.106 0.606

Q: Which formula does entry 7 have?
A: Li2Mn3VO8